Ho2NpCr2C4: theoretical X-ray diffraction stick pattern (Cu Kα (weighted mean of Kα1 and Kα2)), based on a crystal structure in Alexandria, relaxed with GGA-PBE.
No peak broadening, texture or thermal motion is included.

Most intense lines, 2θ = 15–90°, low angle first:
2theta  intensity
27.7  90
28.6  77
31.7  74
35.2  100
40.6  65
41.7  90

Structure:
```
data_Ho2NpCr2C4
_chemical_formula_sum 'Ho4 Np2 Cr4 C8'
_symmetry_space_group_name_H-M 'C 1 2/m 1'
_symmetry_Int_Tables_number 12
_symmetry_space_group_name_Hall '-C 2y'
_cell_length_a 12.7482
_cell_length_b 3.3434
_cell_length_c 5.9794
_cell_angle_alpha 90.00
_cell_angle_beta 109.49
_cell_angle_gamma 90.00
loop_
_atom_site_label
_atom_site_fract_x
_atom_site_fract_y
_atom_site_fract_z
_atom_site_occupancy
Ho1 0.1364 0.0000 0.0433 1
Np1 0.0000 0.0000 0.5000 1
Cr1 0.1798 0.5000 0.4912 1
C1 0.0319 0.5000 0.2490 1
C2 0.2208 0.0000 0.7072 1
```

---

LiPmBi2S4: theoretical X-ray diffraction stick pattern (Cu Kα (weighted mean of Kα1 and Kα2)), based on a crystal structure in Alexandria, relaxed with GGA-PBE.
No peak broadening, texture or thermal motion is included.

Most intense lines, 2θ = 15–90°, low angle first:
2theta  intensity
24.9  75
25.4  39
25.7  84
33.3  100
39.4  52
44.4  41

Structure:
```
data_LiPmBi2S4
_chemical_formula_sum 'Li1 Pm1 Bi2 S4'
_symmetry_space_group_name_H-M 'P 1 2/m 1'
_symmetry_Int_Tables_number 10
_symmetry_space_group_name_Hall '-P 2y'
_cell_length_a 7.4344
_cell_length_b 3.9552
_cell_length_c 7.5631
_cell_angle_alpha 90.00
_cell_angle_beta 109.22
_cell_angle_gamma 90.00
loop_
_atom_site_label
_atom_site_fract_x
_atom_site_fract_y
_atom_site_fract_z
_atom_site_occupancy
Li1 0.0000 0.0000 0.0000 1
Pm1 0.5000 0.5000 0.5000 1
Bi1 0.0000 0.5000 0.5000 1
Bi2 0.5000 0.0000 0.0000 1
S1 0.2778 0.5000 0.1068 1
S2 0.2878 0.0000 0.6154 1
```